(1)
For DySe2O5, a DFT-relaxed cell (PBE, Alexandria) gives the calculated XRD peak list in this record (λ = 1.5418 Å (Cu Kα)).
No peak broadening, texture or thermal motion is included.

Principal peaks in the range 10° ≤ 2θ ≤ 80°, low angle first:
hkl 1 1 0, 14.66 deg, 6.042 Å, I 49
hkl 1 1 1, 19.51 deg, 4.550 Å, I 84
hkl 1 2 1, 24.26 deg, 3.669 Å, I 77
hkl 1 3 0, 27.75 deg, 3.215 Å, I 37
hkl 2 1 1, 28.86 deg, 3.094 Å, I 53
hkl 1 1 2, 29.77 deg, 3.001 Å, I 100
hkl 1 3 1, 30.68 deg, 2.914 Å, I 96
hkl 2 0 2, 35.75 deg, 2.512 Å, I 32

Cell and atoms:
a = 7.308 Å, b = 10.741 Å, c = 6.917 Å
α = 90.00°, β = 90.00°, γ = 90.00°
Atoms (fractional coordinates):
Dy (0.000, 0.067, 0.250)
Dy (0.000, 0.933, 0.750)
Dy (0.500, 0.433, 0.750)
Dy (0.500, 0.567, 0.250)
Se (0.125, 0.359, 0.028)
Se (0.125, 0.641, 0.528)
Se (0.375, 0.141, 0.528)
Se (0.375, 0.859, 0.028)
Se (0.625, 0.141, 0.972)
Se (0.625, 0.859, 0.472)
Se (0.875, 0.359, 0.472)
Se (0.875, 0.641, 0.972)
O (0.000, 0.430, 0.250)
O (0.000, 0.570, 0.750)
O (0.158, 0.065, 0.538)
O (0.158, 0.935, 0.038)
O (0.177, 0.219, 0.138)
O (0.177, 0.781, 0.638)
O (0.323, 0.281, 0.638)
O (0.323, 0.719, 0.138)
O (0.342, 0.435, 0.038)
O (0.342, 0.565, 0.538)
O (0.500, 0.070, 0.750)
O (0.500, 0.930, 0.250)
O (0.658, 0.435, 0.462)
O (0.658, 0.565, 0.962)
O (0.677, 0.281, 0.862)
O (0.677, 0.719, 0.362)
O (0.823, 0.219, 0.362)
O (0.823, 0.781, 0.862)
O (0.842, 0.065, 0.962)
O (0.842, 0.935, 0.462)

---

(2)
For DyTmSe2O, a DFT-relaxed cell (PBE, Alexandria) gives the calculated XRD peak list in this record (λ = 1.5418 Å (Cu Kα)).
No peak broadening, texture or thermal motion is included.

Principal peaks in the range 10° ≤ 2θ ≤ 80°, low angle first:
hkl 0 0 4, 24.70 deg, 3.605 Å, I 26
hkl 1 0 2, 25.76 deg, 3.458 Å, I 48
hkl 1 0 3, 29.31 deg, 3.047 Å, I 30
hkl 1 1 0, 32.12 deg, 2.787 Å, I 100
hkl 1 0 5, 38.69 deg, 2.327 Å, I 43
hkl 1 1 4, 40.93 deg, 2.205 Å, I 36
hkl 2 0 0, 46.06 deg, 1.970 Å, I 42
hkl 1 1 7, 55.50 deg, 1.656 Å, I 26

Cell and atoms:
a = 3.941 Å, b = 3.941 Å, c = 14.419 Å
α = 90.00°, β = 90.00°, γ = 90.00°
Atoms (fractional coordinates):
Dy (0.250, 0.250, 0.077)
Dy (0.750, 0.750, 0.923)
Tm (0.250, 0.250, 0.627)
Tm (0.750, 0.750, 0.373)
Se (0.250, 0.250, 0.412)
Se (0.250, 0.250, 0.807)
Se (0.750, 0.750, 0.193)
Se (0.750, 0.750, 0.588)
O (0.250, 0.750, 0.000)
O (0.750, 0.250, 0.000)